Entry 1:
This entry pairs a crystal structure of Tm3Zn4Hg2 with its simulated powder X-ray diffraction pattern. Radiation: CuKα. Structure: DFT lattice parameters and positions (GGA-PBE).
Peak positions follow from Bragg's law for the DFT cell and can differ from measured ones.

Structure:
a = 5.730 Å, b = 5.730 Å, c = 8.646 Å
α = 113.59°, β = 113.59°, γ = 47.43°
Element x y z (fractional)
1 Tm 0.000 0.000 0.000
2 Tm 0.334 0.334 0.331
3 Tm 0.666 0.666 0.669
4 Zn 0.050 0.050 0.391
5 Zn 0.270 0.270 0.948
6 Zn 0.730 0.730 0.052
7 Zn 0.950 0.950 0.609
8 Hg 0.388 0.388 0.723
9 Hg 0.612 0.612 0.277

Principal peaks in the range 10 to 90 degrees two-theta, in order of rising 2θ:
| 2θ/deg | I (rel.) |
| --- | --- |
| 34.55 | 1000 |
| 39.09 | 236 |
| 39.25 | 463 |
| 53.17 | 193 |
| 53.34 | 108 |
| 53.52 | 94 |
| 68.22 | 178 |
| 68.35 | 178 |



Entry 2:
This entry pairs a crystal structure of Tb2Pm7Th with its simulated powder X-ray diffraction pattern. Radiation: CuKα. Structure: DFT lattice parameters and positions (GGA-PBE).
Peak positions follow from Bragg's law for the DFT cell and can differ from measured ones.

Structure:
a = 8.877 Å, b = 3.460 Å, c = 11.879 Å
α = 90.00°, β = 111.57°, γ = 90.00°
Element x y z (fractional)
1 Tb 0.107 0.000 0.399
2 Tb 0.893 0.000 0.601
3 Pm 0.105 0.500 0.886
4 Pm 0.280 0.000 0.192
5 Pm 0.309 0.000 0.692
6 Pm 0.500 0.000 0.000
7 Pm 0.691 0.000 0.308
8 Pm 0.720 0.000 0.808
9 Pm 0.895 0.500 0.114
10 Th 0.500 0.500 0.500

Principal peaks in the range 10 to 90 degrees two-theta, in order of rising 2θ:
| 2θ/deg | I (rel.) |
| --- | --- |
| 30.11 | 878 |
| 30.25 | 964 |
| 30.50 | 1000 |
| 31.47 | 795 |
| 32.82 | 286 |
| 36.80 | 411 |
| 62.11 | 310 |
| 62.33 | 243 |